No. 1
Pr3HgSb: calculated powder X-ray diffraction pattern (Cu Ka), based on a cell relaxed with GGA-PBE.
Neutral-atom scattering factors, no anomalous dispersion.

The 12 most intense peaks (2θ = 10–80°), sorted by position:
2θ/deg	I (rel.)
17.60	35
20.68	34
28.00	100
30.04	46
30.73	100
34.36	93
35.63	87
37.39	30
37.69	51
43.94	31
47.75	59
59.01	38

Atomic structure:
```
Pr3HgSb
1.0
4.122 -8.212 0.000
4.122 8.212 0.000
0.000 0.000 5.040
Pr Hg Sb
6 2 2
Cartesian
2.061 4.106 2.520
4.122 5.372 0.000
2.648 0.000 2.520
2.061 -4.106 2.520
5.597 0.000 2.520
4.122 -5.372 0.000
4.122 6.804 2.520
4.122 -6.804 2.520
4.122 2.150 0.000
4.122 -2.150 0.000
```

No. 2
LaDyEr5: calculated powder X-ray diffraction pattern (Cu Ka), based on a cell relaxed with GGA-PBE.
Neutral-atom scattering factors, no anomalous dispersion.

The 12 most intense peaks (2θ = 10–80°), sorted by position:
2θ/deg	I (rel.)
24.63	16
27.53	13
31.30	53
33.25	15
33.68	100
44.85	15
48.05	18
51.71	9
57.24	25
61.71	19
63.24	9
70.81	8

Atomic structure:
```
LaDyEr5
1.0
-3.536 5.722 5.710
3.536 -5.722 5.710
3.536 5.722 -5.710
La Dy Er
2 2 10
Cartesian
-1.768 2.861 2.855
1.768 2.861 2.855
3.536 2.861 -0.462
0.000 2.861 6.172
1.769 0.000 0.000
5.303 0.000 0.000
3.536 -2.861 5.259
3.536 5.298 -2.858
3.536 -0.425 2.858
1.769 5.722 0.000
1.767 0.000 5.710
0.000 6.147 2.852
0.000 0.425 8.568
0.000 8.583 0.450
```

No. 3
Ti2HgPt9: calculated powder X-ray diffraction pattern (Cu Ka), based on a cell relaxed with GGA-PBE.
Neutral-atom scattering factors, no anomalous dispersion.

The 12 most intense peaks (2θ = 10–80°), sorted by position:
2θ/deg	I (rel.)
22.36	4
23.56	2
31.68	3
35.23	3
39.12	100
45.19	15
45.63	33
60.40	2
66.16	20
66.51	11
79.31	10
79.95	26

Atomic structure:
```
Ti2HgPt9
1.0
3.976 0.000 0.000
0.000 3.976 0.000
0.000 0.000 12.040
Ti Hg Pt
2 1 9
Cartesian
0.000 0.000 2.030
0.000 0.000 10.009
0.000 0.000 6.020
0.000 1.988 0.000
0.000 1.988 3.842
0.000 1.988 8.198
1.988 0.000 0.000
1.988 0.000 3.842
1.988 0.000 8.198
1.988 1.988 1.933
1.988 1.988 6.020
1.988 1.988 10.107
```

No. 4
Tl2SbF5: calculated powder X-ray diffraction pattern (Cu Ka), based on a cell relaxed with GGA-PBE.
Neutral-atom scattering factors, no anomalous dispersion.

The 12 most intense peaks (2θ = 10–80°), sorted by position:
2θ/deg	I (rel.)
26.15	100
26.36	22
27.09	20
36.47	13
38.16	28
45.54	12
46.00	11
46.39	21
47.29	20
53.80	15
59.58	9
61.94	10

Atomic structure:
```
Tl2SbF5
1.0
3.292 -7.394 0.000
3.292 7.394 0.000
0.000 0.000 6.762
Tl Sb F
4 2 10
Cartesian
3.292 6.297 5.072
3.292 3.683 1.691
3.292 -3.683 5.072
3.292 -6.297 1.691
3.292 1.454 5.072
3.292 -1.454 1.691
1.802 1.819 3.603
1.802 1.819 6.540
3.292 3.452 5.072
1.802 -1.819 0.222
1.802 -1.819 3.159
4.782 1.819 3.603
4.782 1.819 6.540
3.292 -3.452 1.691
4.782 -1.819 0.222
4.782 -1.819 3.159
```